Starting from a PBE-relaxed structure, the powder diffractogram of AlAsP2 was computed for copper Kα.
Lines closer than 0.1° are merged.

Structural model:
Cell lengths 4.445, 3.628, 4.643 Å; angles 90.00, 107.22, 90.00 degrees
Fractional positions:
1 Al 0.000 0.000 0.000
2 As 0.500 0.000 0.500
3 P 0.291 0.500 0.802
4 P 0.709 0.500 0.198

Main lines, low angle first (10 to 90 degrees two-theta):
two_theta	Rel. int.
20.92	29
31.87	23
33.26	50
34.84	100
48.09	33
49.76	32
49.91	17
50.29	17

---

Starting from a PBE-relaxed structure, the powder diffractogram of AlAsP4 was computed for copper Kα.
Lines closer than 0.1° are merged.

Structural model:
Cell lengths 6.662, 6.662, 10.588 Å; angles 90.00, 90.00, 120.00 degrees
Fractional positions:
1 Al 0.000 0.410 0.167
2 Al 0.410 0.000 0.833
3 Al 0.590 0.590 0.500
4 As 0.000 0.408 0.667
5 As 0.408 0.000 0.333
6 As 0.592 0.592 0.000
7 P 0.022 0.685 0.322
8 P 0.022 0.696 0.809
9 P 0.304 0.326 0.143
10 P 0.315 0.336 0.656
11 P 0.326 0.304 0.857
12 P 0.336 0.315 0.344
13 P 0.664 0.978 0.989
14 P 0.674 0.978 0.476
15 P 0.685 0.022 0.678
16 P 0.696 0.022 0.191
17 P 0.978 0.664 0.011
18 P 0.978 0.674 0.524

Main lines, low angle first (10 to 90 degrees two-theta):
two_theta	Rel. int.
17.50	36
22.80	100
26.76	73
37.38	37
44.96	33
46.56	24
47.26	29
54.52	35

---

Starting from a PBE-relaxed structure, the powder diffractogram of Rb2AlTlAs2 was computed for copper Kα.
Lines closer than 0.1° are merged.

Structural model:
Cell lengths 9.270, 9.270, 9.270 Å; angles 131.78, 65.99, 137.78 degrees
Fractional positions:
1 Rb 0.173 0.247 0.420
2 Rb 0.327 0.747 0.074
3 Rb 0.673 0.253 0.926
4 Rb 0.827 0.753 0.580
5 Al 0.250 0.750 0.500
6 Al 0.750 0.250 0.500
7 Tl 0.250 0.250 0.000
8 Tl 0.750 0.750 0.000
9 As 0.092 0.675 0.767
10 As 0.408 0.175 0.583
11 As 0.592 0.825 0.417
12 As 0.908 0.325 0.233

Main lines, low angle first (10 to 90 degrees two-theta):
two_theta	Rel. int.
11.38	75
13.00	37
26.18	52
29.09	100
29.80	47
33.03	41
35.44	43
35.86	66

---

Starting from a PBE-relaxed structure, the powder diffractogram of RbAlZnAs2 was computed for copper Kα.
Lines closer than 0.1° are merged.

Structural model:
Cell lengths 7.986, 6.199, 6.184 Å; angles 90.00, 112.67, 90.00 degrees
Fractional positions:
1 Rb 0.000 0.239 0.250
2 Rb 0.000 0.761 0.750
3 Al 0.500 0.500 0.250
4 Al 0.500 0.500 0.750
5 Zn 0.500 0.000 0.000
6 Zn 0.500 0.000 0.500
7 As 0.293 0.289 0.897
8 As 0.293 0.711 0.397
9 As 0.707 0.289 0.603
10 As 0.707 0.711 0.103

Main lines, low angle first (10 to 90 degrees two-theta):
two_theta	Rel. int.
12.01	10
27.29	100
28.86	41
31.31	15
40.78	12
47.23	22
50.14	22
56.29	13

---

What did the fourth record say?
Starting from a PBE-relaxed structure, the powder diffractogram of RbAlZnAs2 was computed for copper Kα.
Lines closer than 0.1° are merged.

Structural model:
Cell lengths 7.986, 6.199, 6.184 Å; angles 90.00, 112.67, 90.00 degrees
Fractional positions:
1 Rb 0.000 0.239 0.250
2 Rb 0.000 0.761 0.750
3 Al 0.500 0.500 0.250
4 Al 0.500 0.500 0.750
5 Zn 0.500 0.000 0.000
6 Zn 0.500 0.000 0.500
7 As 0.293 0.289 0.897
8 As 0.293 0.711 0.397
9 As 0.707 0.289 0.603
10 As 0.707 0.711 0.103

Main lines, low angle first (10 to 90 degrees two-theta):
two_theta	Rel. int.
12.01	10
27.29	100
28.86	41
31.31	15
40.78	12
47.23	22
50.14	22
56.29	13